Diffraction record for RbNa4Pb4. The PXRD pattern is calculated, not measured: it uses a crystal structure in Alexandria, relaxed with GGA-PBE and a wavelength of 1.5418 Å.

Structure:
```
data_RbNa4Pb4
_cell_length_a 10.954
_cell_length_b 10.954
_cell_length_c 4.928
_cell_angle_alpha 90.00
_cell_angle_beta 90.00
_cell_angle_gamma 90.00
_space_group_name_H-M_alt 'I 4/m m m'
_space_group_IT_number 139
_space_group_name_Hall '-I 4 2'
loop_
_atom_site_label
_atom_site_fract_x
_atom_site_fract_y
_atom_site_fract_z
_atom_site_occupancy
Rb1 0.000 0.000 0.000 1
Na1 0.000 0.327 0.000 1
Pb1 0.184 0.184 0.500 1
```

Most intense lines, 10° ≤ 2θ ≤ 90°, in order of falling intensity:
| index | 2θ (°) | Rel. int. |
| --- | --- | --- |
| 3 0 1 | 30.5 | 100 |
| 3 3 0 | 34.7 | 59 |
| 2 0 0 | 16.2 | 47 |
| 2 1 1 | 25.7 | 29 |
| 5 3 0 | 48.4 | 27 |
| 6 3 1 | 59.7 | 24 |